Theoretical XRD peak list
Compound: LiMnCo3O8
Radiation: λ = 1.5418 Å (Cu Kα)
Structure: DFT lattice parameters and positions (PBE+U)
Intensities are scaled so that the largest is 100.

Structural model:
```
LiMnCo3O8
1.0
5.7287 0.0000 0.0000
-2.8454 5.2527 0.0000
-0.1139 -2.9932 9.5278
Li Mn Co O
2 2 6 16
Direct
0.0000 0.0000 0.0000
0.4920 0.9952 0.4968
0.2457 0.4971 0.2488
0.7476 0.4974 0.7485
0.0015 0.4996 0.5000
0.2478 0.4966 0.7489
0.4930 0.4952 0.9979
0.4989 0.4974 0.4994
0.7471 0.4984 0.2489
0.9951 0.4977 0.9980
0.0853 0.6974 0.8706
0.1046 0.6972 0.3694
0.1458 0.2997 0.8938
0.1520 0.3059 0.3871
0.3401 0.6882 0.1095
0.3475 0.6935 0.6035
0.3895 0.2992 0.1281
0.4103 0.2971 0.6267
0.5878 0.6962 0.3703
0.5897 0.6865 0.8636
0.6497 0.3047 0.8871
0.6512 0.3020 0.3966
0.8405 0.6942 0.1017
0.8454 0.6909 0.6115
0.9038 0.2975 0.1271
0.9057 0.3082 0.6337
```

Top 10 peaks for 10° ≤ 2θ ≤ 80°, sorted by position:
hkl 0 1 0, d 5.011, 2θ = 17.7°, intensity 100.0
hkl -2 1 2, d 2.466, 2θ = 36.4°, intensity 9.4
hkl 0 1 -4, d 2.455, 2θ = 36.6°, intensity 9.9
hkl 2 -1 2, d 2.443, 2θ = 36.8°, intensity 8.6
hkl -2 2 2, d 2.088, 2θ = 43.3°, intensity 14.7
hkl 2 0 2, d 2.074, 2θ = 43.6°, intensity 14.2
hkl 0 2 -4, d 2.062, 2θ = 43.9°, intensity 14.3
hkl -2 3 2, d 1.635, 2θ = 56.3°, intensity 5.0
hkl 2 1 2, d 1.629, 2θ = 56.5°, intensity 5.1
hkl 4 -2 0, d 1.432, 2θ = 65.1°, intensity 7.6